Entry 1:
ZrTlSe3: simulated powder X-ray diffraction pattern (Cu Kα, 1.54184 Å), based on a DFT-relaxed cell (PBE, Alexandria).
Intensities are scaled so that the largest is 100.

Largest 12 diffraction maxima, by angle, 5 to 70 degrees two-theta:
- hkl 0 0 2, 4.383 Å, I = 79.1
- hkl 1 1 -1, 3.622 Å, I = 44.6
- hkl 3 1 -1, 3.232 Å, I = 91.1
- hkl 3 1 0, 3.105 Å, I = 41.9
- hkl 4 0 1, 3.042 Å, I = 63.6
- hkl 3 1 -2, 2.964 Å, I = 78.9
- hkl 6 0 -2, 2.899 Å, I = 45.1
- hkl 5 1 -2, 2.557 Å, I = 41.0
- hkl 3 1 -3, 2.517 Å, I = 100.0
- hkl 5 1 0, 2.420 Å, I = 55.2
- hkl 1 1 3, 2.191 Å, I = 48.2
- hkl 0 2 0, 1.946 Å, I = 45.4

Atomic structure:
```
data_ZrTlSe3
_chemical_formula_sum 'Zr4 Tl4 Se12'
_space_group_name_H-M_alt 'C 1 2/m 1'
_space_group_IT_number 12
_space_group_name_Hall '-C 2y'
_cell_length_a 17.5360
_cell_length_b 3.8925
_cell_length_c 9.9539
_cell_angle_alpha 90.00
_cell_angle_beta 118.26
_cell_angle_gamma 90.00
loop_
_atom_site_label
_atom_site_type_symbol
_atom_site_fract_x
_atom_site_fract_y
_atom_site_fract_z
_atom_site_occupancy
Zr1 Zr 0.1907 0.0000 0.3097 1
Tl1 Tl 0.1026 0.5000 0.7947 1
Se1 Se 0.0141 0.0000 0.1290 1
Se2 Se 0.1465 0.5000 0.4592 1
Se3 Se 0.2164 0.5000 0.1518 1
```

---

Entry 2:
ZrTl4Se4: simulated powder X-ray diffraction pattern (Cu Kα, 1.54184 Å), based on a DFT-relaxed cell (PBE, Alexandria).
Intensities are scaled so that the largest is 100.

Largest 12 diffraction maxima, by angle, 5 to 70 degrees two-theta:
- hkl 1 2 -1, 3.608 Å, I = 21.8
- hkl -2 1 2, 3.533 Å, I = 19.2
- hkl 2 -1 3, 3.486 Å, I = 17.8
- hkl 1 2 4, 3.418 Å, I = 19.4
- hkl 0 0 5, 3.074 Å, I = 56.7
- hkl 3 1 2, 3.022 Å, I = 100.0
- hkl 3 1 -3, 2.212 Å, I = 19.7
- hkl 1 -3 4, 2.189 Å, I = 16.1
- hkl 2 4 3, 2.137 Å, I = 30.7
- hkl -1 3 6, 2.123 Å, I = 18.8
- hkl 3 1 7, 2.102 Å, I = 17.9
- hkl 2 4 -2, 1.804 Å, I = 11.7

Atomic structure:
```
data_ZrTl4Se4
_chemical_formula_sum 'Zr5 Tl20 Se20'
_space_group_name_H-M_alt 'P -1'
_space_group_IT_number 2
_space_group_name_Hall '-P 1'
_cell_length_a 9.5612
_cell_length_b 9.5678
_cell_length_c 16.4460
_cell_angle_alpha 75.59
_cell_angle_beta 75.24
_cell_angle_gamma 89.93
loop_
_atom_site_label
_atom_site_type_symbol
_atom_site_fract_x
_atom_site_fract_y
_atom_site_fract_z
_atom_site_occupancy
Zr1 Zr 0.0000 0.0000 0.0000 1
Zr2 Zr 0.0148 0.1862 0.4013 1
Zr3 Zr 0.1797 0.8105 0.8008 1
Tl1 Tl 0.0383 0.5770 0.1997 1
Tl2 Tl 0.2092 0.2182 0.6003 1
Tl3 Tl 0.2173 0.5871 0.4035 1
Tl4 Tl 0.2189 0.3958 0.0114 1
Tl5 Tl 0.2205 0.9530 0.2053 1
Tl6 Tl 0.3782 0.5979 0.6142 1
Tl7 Tl 0.3869 0.2039 0.8114 1
Tl8 Tl 0.3940 0.7864 0.9956 1
Tl9 Tl 0.4114 0.9692 0.4044 1
Tl10 Tl 0.4146 0.3928 0.2002 1
Se1 Se 0.0665 0.5457 0.5973 1
Se2 Se 0.0744 0.8969 0.4209 1
Se3 Se 0.0773 0.7315 0.9804 1
Se4 Se 0.0897 0.0841 0.8209 1
Se5 Se 0.0918 0.2395 0.2231 1
Se6 Se 0.2493 0.5378 0.8094 1
Se7 Se 0.2544 0.8869 0.6218 1
Se8 Se 0.2729 0.0737 0.0054 1
Se9 Se 0.2866 0.2611 0.3968 1
Se10 Se 0.4496 0.8893 0.7993 1
```

---

Entry 3:
Zr3TlSe: simulated powder X-ray diffraction pattern (Cu Kα, 1.54184 Å), based on a DFT-relaxed cell (PBE, Alexandria).
Intensities are scaled so that the largest is 100.

Largest 12 diffraction maxima, by angle, 5 to 70 degrees two-theta:
- hkl 1 1 0, 8.213 Å, I = 42.1
- hkl 3 1 0, 4.184 Å, I = 15.9
- hkl 1 3 0, 3.312 Å, I = 25.0
- hkl 5 1 0, 2.656 Å, I = 34.0
- hkl 3 1 -1, 2.638 Å, I = 100.0
- hkl 2 2 1, 2.619 Å, I = 72.8
- hkl 0 4 0, 2.560 Å, I = 39.2
- hkl 6 0 0, 2.292 Å, I = 17.1
- hkl 5 3 0, 2.142 Å, I = 30.4
- hkl 3 3 -1, 2.132 Å, I = 39.5
- hkl 0 0 2, 1.700 Å, I = 18.0
- hkl 8 2 1, 1.469 Å, I = 24.1

Atomic structure:
```
data_Zr3TlSe
_chemical_formula_sum 'Zr12 Tl4 Se4'
_space_group_name_H-M_alt 'C 1 2 1'
_space_group_IT_number 5
_space_group_name_Hall 'C 2y'
_cell_length_a 13.7519
_cell_length_b 10.2389
_cell_length_c 3.3997
_cell_angle_alpha 90.00
_cell_angle_beta 90.06
_cell_angle_gamma 90.00
loop_
_atom_site_label
_atom_site_type_symbol
_atom_site_fract_x
_atom_site_fract_y
_atom_site_fract_z
_atom_site_occupancy
Zr1 Zr 0.1161 0.0000 0.4975 1
Zr2 Zr 0.1857 0.2709 0.5013 1
Zr3 Zr 0.1965 0.5224 0.0003 1
Tl1 Tl 0.0000 0.2186 0.0000 1
Tl2 Tl 0.0000 0.5152 0.5000 1
Se1 Se 0.1608 0.8000 0.9979 1
```